Structure and theoretical X-ray diffraction stick pattern of Np2NbP3 (a crystal structure in Alexandria, relaxed with GGA-PBE; λ = 1.5418 Å (Cu Kα)).

Atomic structure:
abc: 3.836 3.836 16.039
angles: 90.00 90.00 90.00
Space group I4/mmm (No. 139)
Asymmetric unit:
Np  0.000  0.000  0.165 [4 per cell]
Nb  0.000  0.000  0.500 [2 per cell]
P  0.000  0.000  0.000 [2 per cell]
P  0.000  0.000  0.339 [4 per cell]

Principal peaks in the range 10° ≤ 2θ ≤ 90°, sorted by position:
h k l, 2θ/deg, I/Imax
1 0 1, 23.85, 13
1 0 3, 28.64, 100
1 1 0, 33.02, 69
0 0 6, 33.52, 33
2 0 0, 47.40, 25
1 1 6, 47.77, 49
2 1 3, 56.32, 32
1 0 9, 56.98, 16
2 0 6, 59.30, 26
3 1 6, 88.51, 18